Structure and theoretical PXRD pattern of NbGaFe2Si (a cell relaxed with PBE; copper Kα).

Crystal structure
```
data_NbGaFe2Si
_chemical_formula_sum 'Nb1 Ga1 Fe2 Si1'
_cell_length_a 4.543
_cell_length_b 4.543
_cell_length_c 5.026
_cell_angle_alpha 90.00
_cell_angle_beta 90.00
_cell_angle_gamma 90.00
_space_group_name_H-M_alt 'P 4/m m m'
_space_group_IT_number 123
_space_group_name_Hall '-P 4 2'
loop_
_atom_site_label
_atom_site_fract_x
_atom_site_fract_y
_atom_site_fract_z
_atom_site_occupancy
Nb1 0.000 0.000 0.000 1
Ga1 0.000 0.000 0.500 1
Fe1 0.000 0.500 0.000 1
Si1 0.500 0.500 0.500 1
```

Principal peaks in the range 15 to 90 degrees two-theta, by angle:
| (hkl) | 2θ (°) | d [Å] | I_rel |
| --- | --- | --- | --- |
| 0 0 1 | 17.65 | 5.026 | 42 |
| 1 0 0 | 19.54 | 4.543 | 100 |
| 1 1 1 | 33.09 | 2.707 | 43 |
| 0 0 2 | 35.73 | 2.513 | 55 |
| 2 0 0 | 39.68 | 2.272 | 82 |
| 1 0 2 | 41.04 | 2.199 | 30 |
| 2 0 2 | 54.45 | 1.685 | 62 |
| 2 2 2 | 69.45 | 1.353 | 29 |